Entry 1:
# Y2HgC
Computed powder diffraction line list, CuKα. Input: a PBE-relaxed structure.
Kinematic intensities with the Lorentz-polarization factor, no thermal factor.

Structural model:
Cell: 5.0683 10.2929 7.2587 Å, 90.00 90.00 90.00°
Space group Ima2 (No. 46)
Inequivalent atoms, fractional coordinates:
1 Y 0.2500 0.1040 0.0000 (multiplicity 4)
2 Y 0.2500 0.6901 0.1724 (multiplicity 4)
3 Hg 0.2500 0.0896 0.4404 (multiplicity 4)
4 C 0.2500 0.6234 0.4782 (multiplicity 4)

Most intense lines, 15 to 90 degrees two-theta, sorted by position:
(hkl)	two_theta	I_rel
0 0 2	24.5	20
1 2 1	27.6	27
0 2 2	30.1	16
1 3 0	31.5	100
2 0 0	35.4	28
1 3 2	40.3	26
1 4 1	41.3	10
1 2 3	45.1	11
1 3 4	60.5	9
3 3 0	61.2	15

***

Entry 2:
# Y3HgC
Computed powder diffraction line list, CuKα. Input: a PBE-relaxed structure.
Kinematic intensities with the Lorentz-polarization factor, no thermal factor.

Structural model:
Cell: 8.8489 6.3661 9.2932 Å, 90.00 114.90 90.00°
Space group P2_1/c (No. 14)
Inequivalent atoms, fractional coordinates:
1 Y 0.0736 0.0722 0.3604 (multiplicity 4)
2 Y 0.1933 0.5789 0.5510 (multiplicity 4)
3 Y 0.3581 0.1166 0.7609 (multiplicity 4)
4 Hg 0.4073 0.6783 0.9107 (multiplicity 4)
5 C 0.0790 0.2486 0.6090 (multiplicity 4)

Most intense lines, 15 to 90 degrees two-theta, sorted by position:
(hkl)	two_theta	I_rel
1 2 0	30.2	15
1 2 -1	30.4	20
3 0 -2	31.2	100
2 1 1	31.7	24
1 1 -3	32.2	36
2 2 -1	34.7	27
2 2 -2	36.8	19
2 1 -4	41.6	25
1 1 -4	41.9	28
4 1 -5	56.4	15

***

Entry 3:
# Y3HgC
Computed powder diffraction line list, CuKα. Input: a PBE-relaxed structure.
Kinematic intensities with the Lorentz-polarization factor, no thermal factor.

Structural model:
Cell: 7.2526 13.5409 10.2396 Å, 90.00 90.00 90.00°
Space group Cccm (No. 66)
Inequivalent atoms, fractional coordinates:
1 Y 0.0209 0.2423 0.0000 (multiplicity 8)
2 Y 0.2426 0.3699 0.2757 (multiplicity 16)
3 Hg 0.2009 0.4639 0.0000 (multiplicity 8)
4 C 0.0000 0.2455 0.2500 (multiplicity 8)

Most intense lines, 15 to 90 degrees two-theta, sorted by position:
(hkl)	two_theta	I_rel
2 0 0	24.5	41
2 2 0	27.9	55
0 4 2	31.7	100
2 2 2	33.0	71
0 0 4	35.1	55
1 3 3	35.2	29
1 5 1	36.5	43
2 4 2	40.5	28
2 2 4	45.4	29
0 4 6	60.7	27

***

Entry 4:
# Zr2Hg2C
Computed powder diffraction line list, CuKα. Input: a PBE-relaxed structure.
Kinematic intensities with the Lorentz-polarization factor, no thermal factor.

Structural model:
Cell: 3.3643 3.3643 29.6419 Å, 90.00 90.00 120.00°
Space group R-3m (No. 166, hexagonal axes)
Inequivalent atoms, fractional coordinates:
1 Zr 0.0000 0.0000 0.1246 (multiplicity 6)
2 Hg 0.0000 0.0000 0.3757 (multiplicity 6)
3 C 0.0000 0.0000 0.5000 (multiplicity 3)

Most intense lines, 15 to 90 degrees two-theta, sorted by position:
(hkl)	two_theta	I_rel
1 0 1	30.8	10
1 0 4	33.0	100
0 0 12	36.4	26
0 1 8	39.3	67
1 1 0	54.6	26
1 0 16	59.1	20
0 2 4	65.3	14
1 1 12	67.3	26
2 0 8	69.3	13
0 1 20	71.4	11

***

Entry 5:
# Ho4C5
Computed powder diffraction line list, CuKα. Input: a PBE-relaxed structure.
Kinematic intensities with the Lorentz-polarization factor, no thermal factor.

Structural model:
Cell: 6.5497 11.9143 3.6461 Å, 90.00 90.00 90.00°
Space group Pbam (No. 55)
Inequivalent atoms, fractional coordinates:
1 Ho 0.1079 0.1950 0.0000 (multiplicity 4)
2 Ho 0.2441 0.9572 0.5000 (multiplicity 4)
3 C 0.0000 0.0000 0.0000 (multiplicity 2)
4 C 0.0974 0.6549 0.5000 (multiplicity 4)
5 C 0.1374 0.7647 0.5000 (multiplicity 4)

Most intense lines, 15 to 90 degrees two-theta, sorted by position:
(hkl)	two_theta	I_rel
2 1 0	28.3	28
0 2 1	28.7	100
2 2 0	31.2	35
1 2 1	31.9	53
1 4 0	33.0	70
2 0 1	36.9	35
2 1 1	37.7	48
1 6 1	54.4	38
3 4 1	58.2	37
4 2 0	58.5	24

***

Entry 6:
# Ho3CI3
Computed powder diffraction line list, CuKα. Input: a PBE-relaxed structure.
Kinematic intensities with the Lorentz-polarization factor, no thermal factor.

Structural model:
Cell: 6.7334 6.7334 33.8447 Å, 90.00 90.00 120.00°
Space group R-3 (No. 148, hexagonal axes)
Inequivalent atoms, fractional coordinates:
1 Ho 0.0000 0.3559 0.4607 (multiplicity 18)
2 C 0.0000 0.0000 0.1667 (multiplicity 6)
3 I 0.0000 0.3271 0.6020 (multiplicity 18)

Most intense lines, 15 to 90 degrees two-theta, sorted by position:
(hkl)	two_theta	I_rel
1 1 0	26.5	32
1 1 6	30.9	100
2 -1 9	35.8	40
0 0 15	40.0	12
3 0 0	46.7	28
2 -1 15	48.6	13
4 -2 6	57.1	17
3 0 15	63.1	18
1 1 21	64.1	13
4 1 6	76.8	16

***

Entry 7:
# Ho7C2I12N
Computed powder diffraction line list, CuKα. Input: a PBE-relaxed structure.
Kinematic intensities with the Lorentz-polarization factor, no thermal factor.

Structural model:
Cell: 9.8989 10.9235 16.9802 Å, 101.85 92.76 112.87°
Space group P-1 (No. 2)
Inequivalent atoms, fractional coordinates:
1 Ho 0.0174 0.4367 0.1789 (multiplicity 2)
2 Ho 0.0500 0.2623 0.6912 (multiplicity 2)
3 Ho 0.1420 0.4580 0.9809 (multiplicity 2)
4 Ho 0.1600 0.5450 0.3849 (multiplicity 2)
5 Ho 0.2148 0.7479 0.1501 (multiplicity 2)
6 Ho 0.3619 0.8692 0.3534 (multiplicity 2)
7 Ho 0.4320 0.5684 0.2362 (multiplicity 2)
8 C 0.1325 0.6737 0.2831 (multiplicity 2)
9 C 0.2519 0.6336 0.2651 (multiplicity 2)
10 I 0.0453 0.1599 0.8506 (multiplicity 2)
11 I 0.0620 0.7376 0.6976 (multiplicity 2)
12 I 0.1073 0.4011 0.5498 (multiplicity 2)
13 I 0.1573 0.0103 0.4075 (multiplicity 2)
14 I 0.2042 0.8025 0.9705 (multiplicity 2)
15 I 0.2249 0.3015 0.1091 (multiplicity 2)
16 I 0.2904 0.5294 0.8121 (multiplicity 2)
17 I 0.3297 0.1630 0.6654 (multiplicity 2)
18 I 0.3738 0.7984 0.5157 (multiplicity 2)
19 I 0.3991 0.4311 0.3724 (multiplicity 2)
20 I 0.4473 0.0381 0.2318 (multiplicity 2)
21 I 0.4684 0.6741 0.0772 (multiplicity 2)
22 N 0.0577 0.5467 0.0842 (multiplicity 2)

Most intense lines, 15 to 90 degrees two-theta, sorted by position:
(hkl)	two_theta	I_rel
-1 1 4	24.7	14
-3 2 1	28.3	59
1 2 2	28.8	100
2 2 -1	31.2	12
-2 4 3	40.4	26
1 0 7	41.0	20
4 0 1	41.1	14
1 4 -3	41.2	13
3 0 -6	41.3	14
-6 4 2	58.6	9

***

Entry 8:
# Sm2HoC2I2
Computed powder diffraction line list, CuKα. Input: a PBE-relaxed structure.
Kinematic intensities with the Lorentz-polarization factor, no thermal factor.

Structural model:
Cell: 4.4750 4.4750 19.9353 Å, 90.00 90.00 90.00°
Space group I4/mmm (No. 139)
Inequivalent atoms, fractional coordinates:
1 Sm 0.0000 0.0000 0.0772 (multiplicity 4)
2 Ho 0.0000 0.0000 0.5000 (multiplicity 2)
3 C 0.0000 0.5000 0.0000 (multiplicity 4)
4 I 0.0000 0.0000 0.3382 (multiplicity 4)

Most intense lines, 15 to 90 degrees two-theta, sorted by position:
(hkl)	two_theta	I_rel
1 1 0	28.2	100
1 0 5	30.0	82
1 0 7	37.4	76
2 0 0	40.3	43
2 1 5	51.1	37
2 1 7	56.2	47
2 2 0	58.3	14
1 1 12	63.2	18
3 1 0	66.0	18
3 2 7	85.3	15

***

Entry 9:
# Ho4InPbC
Computed powder diffraction line list, CuKα. Input: a PBE-relaxed structure.
Kinematic intensities with the Lorentz-polarization factor, no thermal factor.

Structural model:
Cell: 6.8306 15.7880 6.8249 Å, 90.00 90.00 90.00°
Space group Cmcm (No. 63)
Inequivalent atoms, fractional coordinates:
1 Ho 0.0000 0.0901 0.2500 (multiplicity 4)
2 Ho 0.0000 0.4085 0.2500 (multiplicity 4)
3 Ho 0.2500 0.2500 0.0000 (multiplicity 8)
4 In 0.0000 0.1126 0.7500 (multiplicity 4)
5 Pb 0.0000 0.3902 0.7500 (multiplicity 4)
6 C 0.0000 0.2492 0.2500 (multiplicity 4)

Most intense lines, 15 to 90 degrees two-theta, sorted by position:
(hkl)	two_theta	I_rel
2 0 0	26.1	17
2 2 0	28.5	63
0 6 0	34.1	25
2 4 0	34.7	100
2 0 2	37.2	59
2 6 2	51.4	32
4 0 0	53.7	21
2 10 0	65.1	26
4 4 2	65.6	32
4 10 2	89.2	16